Record 1
For Mg16Al12Tl, a crystal structure in Alexandria, relaxed with PBE gives the simulated powder diffraction line list in this record (Cu Kα).
Kinematic intensities with the Lorentz-polarization factor, no thermal factor.

Atomic structure:
a = 9.1480 Å, b = 9.1480 Å, c = 9.1480 Å
α = 109.38°, β = 109.38°, γ = 109.38°
Fractional positions:
Mg 0.0000 0.0000 0.0000
Mg 0.9999 0.4007 0.6813
Mg 0.9999 0.6813 0.4007
Mg 0.2910 0.6040 0.6040
Mg 0.3138 0.3138 0.7123
Mg 0.3138 0.7123 0.3138
Mg 0.4007 0.9999 0.6813
Mg 0.4007 0.6813 0.9999
Mg 0.6040 0.2910 0.6040
Mg 0.6040 0.6040 0.2910
Mg 0.6537 0.9992 0.9992
Mg 0.6813 0.9999 0.4007
Mg 0.6813 0.4007 0.9999
Mg 0.7123 0.3138 0.3138
Mg 0.9992 0.6537 0.9992
Mg 0.9992 0.9992 0.6537
Al 0.1803 0.3646 0.9917
Al 0.1803 0.9917 0.3646
Al 0.1846 0.8142 0.8142
Al 0.3646 0.1803 0.9917
Al 0.3646 0.9917 0.1803
Al 0.6385 0.6385 0.8257
Al 0.6385 0.8257 0.6385
Al 0.8142 0.1846 0.8142
Al 0.8142 0.8142 0.1846
Al 0.8257 0.6385 0.6385
Al 0.9917 0.1803 0.3646
Al 0.9917 0.3646 0.1803
Tl 0.3447 0.3447 0.3447

Top 10 peaks for 2θ = 10–90°, in order of rising 2θ:
- 11.8 deg, intensity 89.7
- 16.8 deg, intensity 21.3
- 20.6 deg, intensity 47.6
- 26.7 deg, intensity 31.9
- 31.6 deg, intensity 19.8
- 31.7 deg, intensity 22.0
- 36.0 deg, intensity 100.0
- 36.1 deg, intensity 48.1
- 40.0 deg, intensity 29.1
- 64.8 deg, intensity 18.9

---

Record 2
For Er3PtPb, a crystal structure in Alexandria, relaxed with PBE gives the simulated powder diffraction line list in this record (Cu Kα).
Kinematic intensities with the Lorentz-polarization factor, no thermal factor.

Atomic structure:
a = 4.5814 Å, b = 6.7940 Å, c = 8.8363 Å
α = 90.00°, β = 90.00°, γ = 90.00°
Fractional positions:
Er 0.2500 0.0004 0.1593
Er 0.2500 0.2500 0.5800
Er 0.2500 0.4996 0.1593
Er 0.7500 0.9996 0.8407
Er 0.7500 0.5004 0.8407
Er 0.7500 0.7500 0.4200
Pt 0.2500 0.2500 0.9006
Pt 0.7500 0.7500 0.0994
Pb 0.2500 0.7500 0.6474
Pb 0.7500 0.2500 0.3526

Top 10 peaks for 2θ = 10–90°, in order of rising 2θ:
- 24.0 deg, intensity 17.2
- 28.1 deg, intensity 61.5
- 34.4 deg, intensity 100.0
- 36.3 deg, intensity 15.2
- 39.3 deg, intensity 34.5
- 40.5 deg, intensity 16.3
- 40.8 deg, intensity 14.6
- 45.3 deg, intensity 25.4
- 54.0 deg, intensity 13.9
- 68.2 deg, intensity 14.1

---

Record 3
For KTaAg2O4, a crystal structure in Alexandria, relaxed with PBE gives the simulated powder diffraction line list in this record (Cu Kα).
Kinematic intensities with the Lorentz-polarization factor, no thermal factor.

Atomic structure:
a = 5.7231 Å, b = 5.7231 Å, c = 5.7231 Å
α = 116.59°, β = 116.59°, γ = 96.01°
Fractional positions:
K 0.0000 0.0000 0.0000
Ta 0.5000 0.5000 0.0000
Ag 0.2500 0.7500 0.5000
Ag 0.7500 0.2500 0.5000
O 0.1776 0.5397 0.0000
O 0.4603 0.4603 0.6379
O 0.5397 0.1776 0.0000
O 0.8224 0.8224 0.3621

Top 10 peaks for 2θ = 10–90°, in order of rising 2θ:
- 18.8 deg, intensity 42.3
- 29.7 deg, intensity 46.7
- 31.4 deg, intensity 100.0
- 35.4 deg, intensity 12.6
- 42.5 deg, intensity 24.0
- 53.8 deg, intensity 42.8
- 57.0 deg, intensity 20.2
- 65.6 deg, intensity 10.3
- 70.9 deg, intensity 10.8
- 86.3 deg, intensity 11.8

---

Record 4
For Sr3InSb3, a crystal structure in Alexandria, relaxed with PBE gives the simulated powder diffraction line list in this record (Cu Kα).
Kinematic intensities with the Lorentz-polarization factor, no thermal factor.

Atomic structure:
a = 11.0767 Å, b = 11.0767 Å, c = 13.7549 Å
α = 90.00°, β = 90.00°, γ = 37.55°
Fractional positions:
Sr 0.0191 0.6258 0.1283
Sr 0.1258 0.5191 0.6283
Sr 0.1892 0.8108 0.8569
Sr 0.3108 0.6892 0.3569
Sr 0.3742 0.9809 0.1283
Sr 0.4809 0.8742 0.6283
Sr 0.5191 0.1258 0.3717
Sr 0.6258 0.0191 0.8717
Sr 0.6892 0.3108 0.6431
Sr 0.8108 0.1892 0.1431
Sr 0.8742 0.4809 0.3717
Sr 0.9809 0.3742 0.8717
In 0.0888 0.0888 0.5000
In 0.4112 0.4112 0.0000
In 0.5888 0.5888 0.0000
In 0.9112 0.9112 0.5000
Sb 0.0649 0.6093 0.3721
Sb 0.1093 0.5649 0.8721
Sb 0.2213 0.7787 0.6142
Sb 0.2787 0.7213 0.1142
Sb 0.3907 0.9351 0.3721
Sb 0.4351 0.8907 0.8721
Sb 0.5649 0.1093 0.1279
Sb 0.6093 0.0649 0.6279
Sb 0.7213 0.2787 0.8858
Sb 0.7787 0.2213 0.3858
Sb 0.8907 0.4351 0.1279
Sb 0.9351 0.3907 0.6279

Top 10 peaks for 2θ = 10–90°, in order of rising 2θ:
- 14.6 deg, intensity 30.1
- 25.0 deg, intensity 49.9
- 25.5 deg, intensity 81.7
- 25.9 deg, intensity 61.7
- 36.0 deg, intensity 88.6
- 36.3 deg, intensity 90.6
- 36.7 deg, intensity 100.0
- 44.9 deg, intensity 37.0
- 65.4 deg, intensity 24.4
- 66.0 deg, intensity 25.8

---

Record 5
For Ca2IrAu, a crystal structure in Alexandria, relaxed with PBE gives the simulated powder diffraction line list in this record (Cu Kα).
Kinematic intensities with the Lorentz-polarization factor, no thermal factor.

Atomic structure:
a = 3.4317 Å, b = 3.4317 Å, c = 7.4382 Å
α = 90.00°, β = 90.00°, γ = 90.00°
Fractional positions:
Ca 0.0000 0.0000 0.2295
Ca 0.0000 0.0000 0.7705
Ir 0.5000 0.5000 0.0000
Au 0.5000 0.5000 0.5000

Top 10 peaks for 2θ = 10–90°, in order of rising 2θ:
- 23.9 deg, intensity 28.3
- 26.0 deg, intensity 45.7
- 35.6 deg, intensity 100.0
- 37.0 deg, intensity 45.4
- 44.6 deg, intensity 23.3
- 53.4 deg, intensity 15.8
- 56.3 deg, intensity 12.7
- 63.0 deg, intensity 18.3
- 65.8 deg, intensity 33.1
- 75.4 deg, intensity 10.9

---

Record 6
For LaPmH, a crystal structure in Alexandria, relaxed with PBE gives the simulated powder diffraction line list in this record (Cu Kα).
Kinematic intensities with the Lorentz-polarization factor, no thermal factor.

Atomic structure:
a = 3.5071 Å, b = 3.5071 Å, c = 47.6089 Å
α = 90.00°, β = 90.00°, γ = 90.00°
Fractional positions:
La 0.2293 0.2647 0.1577
La 0.2293 0.7353 0.3423
La 0.2647 0.2293 0.5923
La 0.2647 0.7707 0.9077
La 0.7353 0.2293 0.4077
La 0.7353 0.7707 0.0923
La 0.7707 0.2647 0.8423
La 0.7707 0.7353 0.6577
Pm 0.2394 0.2726 0.0357
Pm 0.2394 0.7274 0.4643
Pm 0.2726 0.2394 0.7143
Pm 0.2726 0.7606 0.7857
Pm 0.7274 0.2394 0.2857
Pm 0.7274 0.7606 0.2143
Pm 0.7606 0.2726 0.9643
Pm 0.7606 0.7274 0.5357
H 0.2271 0.2613 0.2081
H 0.2271 0.7387 0.2919
H 0.2613 0.2271 0.5419
H 0.2613 0.7729 0.9581
H 0.7387 0.2271 0.4581
H 0.7387 0.7729 0.0419
H 0.7729 0.2613 0.7919
H 0.7729 0.7387 0.7081

Top 10 peaks for 2θ = 10–90°, in order of rising 2θ:
- 28.6 deg, intensity 94.1
- 30.0 deg, intensity 53.1
- 30.6 deg, intensity 100.0
- 36.4 deg, intensity 61.6
- 50.4 deg, intensity 36.2
- 52.2 deg, intensity 25.4
- 54.9 deg, intensity 19.5
- 60.6 deg, intensity 21.2
- 61.4 deg, intensity 26.2
- 61.7 deg, intensity 25.6

---

Record 7
For Sn3O8, a crystal structure in Alexandria, relaxed with PBE gives the simulated powder diffraction line list in this record (Cu Kα).
Kinematic intensities with the Lorentz-polarization factor, no thermal factor.

Atomic structure:
a = 5.8902 Å, b = 5.8902 Å, c = 5.8902 Å
α = 110.25°, β = 109.28°, γ = 108.88°
Fractional positions:
Sn 0.0000 0.0000 0.0000
Sn 0.5000 0.2628 0.7628
Sn 0.5000 0.7372 0.2372
O 0.2041 0.2235 0.4276
O 0.2041 0.7765 0.9805
O 0.3075 0.3075 0.0000
O 0.3233 0.8233 0.5000
O 0.6767 0.1767 0.5000
O 0.6925 0.6925 0.0000
O 0.7959 0.2235 0.0195
O 0.7959 0.7765 0.5724

Top 10 peaks for 2θ = 10–90°, in order of rising 2θ:
- 18.4 deg, intensity 33.8
- 18.5 deg, intensity 68.3
- 26.0 deg, intensity 65.6
- 26.1 deg, intensity 61.0
- 32.1 deg, intensity 29.2
- 32.4 deg, intensity 100.0
- 37.2 deg, intensity 24.5
- 50.1 deg, intensity 48.5
- 50.2 deg, intensity 43.4
- 64.1 deg, intensity 29.2

---

Record 8
For K2LiReO6, a crystal structure in Alexandria, relaxed with PBE gives the simulated powder diffraction line list in this record (Cu Kα).
Kinematic intensities with the Lorentz-polarization factor, no thermal factor.

Atomic structure:
a = 5.8159 Å, b = 5.8159 Å, c = 5.8159 Å
α = 60.00°, β = 60.00°, γ = 60.00°
Fractional positions:
K 0.2500 0.2500 0.2500
K 0.7500 0.7500 0.7500
Li 0.0000 0.0000 0.0000
Re 0.5000 0.5000 0.5000
O 0.2702 0.2702 0.7298
O 0.2702 0.7298 0.2702
O 0.2702 0.7298 0.7298
O 0.7298 0.2702 0.2702
O 0.7298 0.2702 0.7298
O 0.7298 0.7298 0.2702

Top 10 peaks for 2θ = 10–90°, in order of rising 2θ:
- 18.7 deg, intensity 100.0
- 21.6 deg, intensity 28.9
- 30.7 deg, intensity 69.2
- 36.2 deg, intensity 47.9
- 44.0 deg, intensity 28.7
- 48.2 deg, intensity 18.2
- 54.7 deg, intensity 26.6
- 58.3 deg, intensity 19.3
- 64.0 deg, intensity 16.6
- 67.4 deg, intensity 18.4

---

Record 9
For HoTm2Ni2, a crystal structure in Alexandria, relaxed with PBE gives the simulated powder diffraction line list in this record (Cu Kα).
Kinematic intensities with the Lorentz-polarization factor, no thermal factor.

Atomic structure:
a = 6.7999 Å, b = 6.7999 Å, c = 9.3004 Å
α = 90.00°, β = 90.00°, γ = 148.71°
Fractional positions:
Ho 0.1028 0.8972 0.5000
Ho 0.8972 0.1028 0.0000
Tm 0.1785 0.8214 0.8629
Tm 0.3941 0.6059 0.6582
Tm 0.6059 0.3941 0.1582
Tm 0.8214 0.1785 0.3629
Ni 0.2622 0.7378 0.1512
Ni 0.4705 0.5295 0.3776
Ni 0.5295 0.4705 0.8776
Ni 0.7378 0.2622 0.6512

Top 10 peaks for 2θ = 10–90°, in order of rising 2θ:
- 27.0 deg, intensity 28.9
- 28.9 deg, intensity 25.2
- 31.8 deg, intensity 62.1
- 31.9 deg, intensity 90.4
- 33.3 deg, intensity 100.0
- 37.4 deg, intensity 56.0
- 38.7 deg, intensity 29.5
- 49.7 deg, intensity 26.7
- 58.8 deg, intensity 21.0
- 60.3 deg, intensity 29.6

---

Record 10
For Ce2Se3F, a crystal structure in Alexandria, relaxed with PBE gives the simulated powder diffraction line list in this record (Cu Kα).
Kinematic intensities with the Lorentz-polarization factor, no thermal factor.

Atomic structure:
a = 7.3307 Å, b = 7.3307 Å, c = 7.3307 Å
α = 65.06°, β = 65.06°, γ = 65.06°
Fractional positions:
Ce 0.1314 0.1314 0.1314
Ce 0.3686 0.3686 0.3686
Ce 0.6314 0.6314 0.6314
Ce 0.8686 0.8686 0.8686
Se 0.0252 0.7500 0.4748
Se 0.2500 0.5252 0.9748
Se 0.4748 0.0252 0.7500
Se 0.5252 0.9748 0.2500
Se 0.7500 0.4748 0.0252
Se 0.9748 0.2500 0.5252
F 0.0000 0.0000 0.0000
F 0.5000 0.5000 0.5000

Top 10 peaks for 2θ = 10–90°, in order of rising 2θ:
- 22.6 deg, intensity 83.8
- 24.4 deg, intensity 69.9
- 27.4 deg, intensity 88.7
- 33.5 deg, intensity 83.5
- 38.8 deg, intensity 36.6
- 39.6 deg, intensity 100.0
- 40.8 deg, intensity 86.0
- 44.1 deg, intensity 41.4
- 63.2 deg, intensity 31.1
- 65.6 deg, intensity 29.8

---

Record 11
For CeTiSeO2, a crystal structure in Alexandria, relaxed with PBE gives the simulated powder diffraction line list in this record (Cu Kα).
Kinematic intensities with the Lorentz-polarization factor, no thermal factor.

Atomic structure:
a = 4.0021 Å, b = 4.0021 Å, c = 5.5692 Å
α = 90.00°, β = 90.00°, γ = 90.00°
Fractional positions:
Ce 0.0000 0.0000 0.0000
Ti 0.5000 0.5000 0.2930
Se 0.5000 0.5000 0.7602
O 0.0000 0.5000 0.2429
O 0.5000 0.0000 0.2429

Top 10 peaks for 2θ = 10–90°, in order of rising 2θ:
- 15.9 deg, intensity 62.9
- 27.4 deg, intensity 88.2
- 31.6 deg, intensity 72.8
- 35.6 deg, intensity 42.0
- 39.4 deg, intensity 100.0
- 45.3 deg, intensity 43.0
- 48.3 deg, intensity 14.7
- 53.8 deg, intensity 27.0
- 59.6 deg, intensity 13.5
- 61.6 deg, intensity 52.2

---

Record 12
For Ca3PmIn2, a crystal structure in Alexandria, relaxed with PBE gives the simulated powder diffraction line list in this record (Cu Kα).
Kinematic intensities with the Lorentz-polarization factor, no thermal factor.

Atomic structure:
a = 5.3438 Å, b = 9.9235 Å, c = 7.1748 Å
α = 90.00°, β = 90.00°, γ = 90.00°
Fractional positions:
Ca 0.0000 0.0505 0.0000
Ca 0.0000 0.3133 0.3568
Ca 0.0000 0.6867 0.8568
Ca 0.0000 0.9495 0.5000
Ca 0.5000 0.1807 0.7106
Ca 0.5000 0.8193 0.2106
Pm 0.5000 0.4539 0.0650
Pm 0.5000 0.5461 0.5650
In 0.0000 0.3655 0.8152
In 0.0000 0.6345 0.3152
In 0.5000 0.1461 0.2486
In 0.5000 0.8539 0.7486

Top 10 peaks for 2θ = 10–90°, in order of rising 2θ:
- 21.8 deg, intensity 28.0
- 22.6 deg, intensity 31.1
- 30.0 deg, intensity 34.9
- 30.8 deg, intensity 24.4
- 31.4 deg, intensity 100.0
- 31.8 deg, intensity 74.3
- 33.5 deg, intensity 50.8
- 34.2 deg, intensity 23.2
- 45.4 deg, intensity 19.4
- 58.6 deg, intensity 17.7